Starting from a DFT-relaxed cell (PBE, the Materials Project), the XRD peak list of Hg2GeO2 was simulated for Cu Kα, 1.54184 Å.

```
data_Hg2GeO2
_chemical_formula_sum 'Hg32 Ge16 O32'
_symmetry_space_group_name_H-M 'F d d d'
_symmetry_Int_Tables_number 70
_cell_length_a 10.0259
_cell_length_b 11.4484
_cell_length_c 22.1610
_cell_angle_alpha 90.00
_cell_angle_beta 90.00
_cell_angle_gamma 90.00
loop_
_symmetry_equiv_pos_as_xyz
'x,y,z'
'-x,-y,-z'
'-x+1/4,-y+1/4,z'
'x+1/4,y+1/4,-z'
'x,-y+1/4,-z+1/4'
'-x,y+1/4,z+1/4'
'-x+1/4,y,-z+1/4'
'x+1/4,-y,z+1/4'
'x,y+1/2,z+1/2'
'-x,-y+1/2,-z+1/2'
'-x+1/4,-y+3/4,z+1/2'
'x+1/4,y+3/4,-z+1/2'
'x,-y+3/4,-z+3/4'
'-x,y+3/4,z+3/4'
'-x+1/4,y+1/2,-z+3/4'
'x+1/4,-y+1/2,z+3/4'
'x+1/2,y,z+1/2'
'-x+1/2,-y,-z+1/2'
'-x+3/4,-y+1/4,z+1/2'
'x+3/4,y+1/4,-z+1/2'
'x+1/2,-y+1/4,-z+3/4'
'-x+1/2,y+1/4,z+3/4'
'-x+3/4,y,-z+3/4'
'x+3/4,-y,z+3/4'
'x+1/2,y+1/2,z'
'-x+1/2,-y+1/2,-z'
'-x+3/4,-y+3/4,z'
'x+3/4,y+3/4,-z'
'x+1/2,-y+3/4,-z+1/4'
'-x+1/2,y+3/4,z+1/4'
'-x+3/4,y+1/2,-z+1/4'
'x+3/4,-y+1/2,z+1/4'
loop_
_atom_site_label
_atom_site_type_symbol
_atom_site_fract_x
_atom_site_fract_y
_atom_site_fract_z
Hg1 Hg 0.0060 0.3096 0.0672
Ge1 Ge 0.0000 0.0000 0.0000
O1 O 0.0770 0.2779 0.3146
```

Principal peaks in the range 10° ≤ 2θ ≤ 90°, sorted by position:
| (hkl) | two_theta | I_rel |
| --- | --- | --- |
| 1 1 1 | 12.40 | 33.4 |
| 1 1 3 | 16.80 | 83.4 |
| 0 2 2 | 17.44 | 68.8 |
| 1 1 5 | 23.28 | 89.6 |
| 1 3 1 | 25.29 | 100.0 |
| 3 1 3 | 30.38 | 35.2 |
| 2 2 6 | 33.97 | 66.9 |
| 3 1 5 | 34.51 | 49.5 |
| 4 0 0 | 35.83 | 33.7 |
| 2 4 4 | 39.75 | 80.1 |